# NaP4Ru2O14
Calculated powder XRD pattern, Cu Kα (weighted mean of Kα1 and Kα2). Input: a crystal structure in the Materials Project, relaxed with PBE.
No peak broadening, texture or thermal motion is included.

Structure:
Lattice parameters (Å, degrees): 4.8577 7.0831 8.0412 91.12 92.64 106.99
Sites, in units of the cell vectors:
Na (0.0000, 0.0000, 0.0000)
P (0.0285, 0.3807, 0.2203)
P (0.0954, 0.6452, 0.7412)
P (0.4424, 0.7731, 0.2857)
P (0.6819, 0.2517, 0.6772)
Ru (0.0624, 0.0126, 0.4815)
Ru (0.5612, 0.5113, 0.9806)
O (0.1753, 0.3450, 0.0605)
O (0.1816, 0.8263, 0.6378)
O (0.2488, 0.9115, 0.2862)
O (0.2510, 0.5541, 0.3309)
O (0.3667, 0.5808, 0.7798)
O (0.4401, 0.2125, 0.5408)
O (0.5458, 0.7657, 0.1068)
O (0.5831, 0.2596, 0.8568)
O (0.6838, 0.8128, 0.4219)
O (0.7570, 0.4448, 0.1829)
O (0.8733, 0.1117, 0.6755)
O (0.8737, 0.4703, 0.6311)
O (0.9432, 0.1963, 0.3204)
O (0.9465, 0.6802, 0.9004)

Most intense lines, 5° ≤ 2θ ≤ 70°, sorted by position:
- 16.84 deg, rel. 100.0
- 17.43 deg, rel. 61.4
- 22.65 deg, rel. 37.0
- 26.28 deg, rel. 38.8
- 29.41 deg, rel. 63.4
- 29.90 deg, rel. 38.9
- 30.30 deg, rel. 40.2
- 38.87 deg, rel. 25.4


# Na2P2S2O7
Calculated powder XRD pattern, Cu Kα (weighted mean of Kα1 and Kα2). Input: a crystal structure in the Materials Project, relaxed with PBE.
No peak broadening, texture or thermal motion is included.

Structure:
Lattice parameters (Å, degrees): 8.7042 8.8050 14.5377 81.09 88.61 60.67
Sites, in units of the cell vectors:
Na (0.0748, 0.1628, 0.0907)
Na (0.0908, 0.5782, 0.7108)
Na (0.2317, 0.4667, 0.4487)
Na (0.2752, 0.8770, 0.7599)
Na (0.7248, 0.1230, 0.2401)
Na (0.7683, 0.5333, 0.5513)
Na (0.9092, 0.4218, 0.2892)
Na (0.9252, 0.8372, 0.9093)
P (0.0777, 0.9808, 0.3799)
P (0.1205, 0.1764, 0.5188)
P (0.3549, 0.4618, 0.1172)
P (0.3729, 0.4182, 0.9113)
P (0.6271, 0.5818, 0.0887)
P (0.6451, 0.5382, 0.8828)
P (0.8795, 0.8236, 0.4812)
P (0.9223, 0.0192, 0.6201)
S (0.0789, 0.6079, 0.1371)
S (0.2635, 0.9073, 0.2782)
S (0.3148, 0.1234, 0.6034)
S (0.3970, 0.2177, 0.8605)
S (0.6030, 0.7823, 0.1395)
S (0.6852, 0.8766, 0.3966)
S (0.7365, 0.0927, 0.7218)
S (0.9211, 0.3921, 0.8629)
O (0.0404, 0.3453, 0.4493)
O (0.0557, 0.8133, 0.4239)
O (0.0579, 0.5895, 0.2433)
O (0.0917, 0.8569, 0.6560)
O (0.0971, 0.0162, 0.8982)
O (0.1703, 0.0072, 0.4667)
O (0.2018, 0.9694, 0.9707)
O (0.2181, 0.0998, 0.2334)
O (0.2302, 0.6038, 0.8728)
O (0.3533, 0.3820, 0.0253)
O (0.3881, 0.5070, 0.5882)
O (0.4306, 0.5938, 0.0849)
O (0.4522, 0.3272, 0.1995)
O (0.4738, 0.5885, 0.5907)
O (0.5262, 0.4115, 0.4093)
O (0.5478, 0.6728, 0.8005)
O (0.5694, 0.4062, 0.9151)
O (0.6119, 0.4930, 0.4118)
O (0.6467, 0.6180, 0.9747)
O (0.7698, 0.3962, 0.1272)
O (0.7819, 0.9002, 0.7666)
O (0.7982, 0.0306, 0.0293)
O (0.8297, 0.9928, 0.5333)
O (0.9029, 0.9838, 0.1018)
O (0.9083, 0.1431, 0.3440)
O (0.9421, 0.4105, 0.7567)
O (0.9443, 0.1867, 0.5761)
O (0.9596, 0.6547, 0.5507)

Most intense lines, 5° ≤ 2θ ≤ 70°, sorted by position:
- 11.73 deg, rel. 91.4
- 12.31 deg, rel. 68.7
- 13.55 deg, rel. 64.4
- 20.27 deg, rel. 100.0
- 22.24 deg, rel. 66.5
- 23.67 deg, rel. 69.8
- 25.14 deg, rel. 89.7
- 31.93 deg, rel. 68.8